For WSe2S2Br, DFT lattice parameters and positions (GGA-PBE) gives the computed X-ray powder pattern in this record (a wavelength of 1.5418 Å).
Kinematic intensities with the Lorentz-polarization factor, no thermal factor.

Atomic structure:
```
data_WSe2S2Br
_chemical_formula_sum 'W2 Se4 S4 Br2'
_cell_length_a 6.2631
_cell_length_b 8.0314
_cell_length_c 8.0840
_cell_angle_alpha 118.75
_cell_angle_beta 106.32
_cell_angle_gamma 96.16
_space_group_name_H-M_alt 'P -1'
_space_group_IT_number 2
_space_group_name_Hall '-P 1'
loop_
_atom_site_label
_atom_site_type_symbol
_atom_site_fract_x
_atom_site_fract_y
_atom_site_fract_z
W1 W 0.2249 0.0002 0.9997
Se1 Se 0.1268 0.3118 0.2318
Se2 Se 0.4680 0.7521 0.0065
S1 S 0.0303 0.8512 0.1381
S2 S 0.3929 0.9334 0.7290
Br1 Br 0.2693 0.3666 0.6019
```

Peak list (10 most intense, 2θ from 10° to 80°, sorted by position)
h k l, 2θ (°), intensity
0 1 -1, 12.8, 100
0 1 0, 13.1, 32
0 0 1, 13.5, 66
0 1 -2, 23.0, 18
0 1 1, 23.5, 16
0 2 -3, 35.0, 14
2 -2 1, 36.4, 18
2 2 -1, 40.6, 10
0 0 3, 41.3, 10
0 4 -1, 48.0, 16